1.
# P3BrCl14
Calculated X-ray diffraction stick pattern, a wavelength of 1.5418 Å. Input: a structure optimized by DFT (PBE).
No peak broadening, texture or thermal motion is included.

Principal peaks in the range 5 to 70 degrees two-theta, by angle:
2θ (°), I (rel.)
19.50, 44
19.63, 70
30.28, 27
30.45, 100
31.07, 26
42.11, 14
46.37, 14
53.46, 16
53.73, 17
61.52, 13

Structural model:
a = 9.045 Å, b = 9.045 Å, c = 9.045 Å
α = 119.57°, β = 119.57°, γ = 90.75°
Fractional coordinates of all 18 atoms:
P (0.000, 0.000, 0.000)
P (0.250, 0.750, 0.500)
P (0.750, 0.250, 0.500)
Br (0.501, 0.501, 0.000)
Cl (0.012, 0.373, 0.707)
Cl (0.114, 0.210, 0.324)
Cl (0.170, 0.170, 0.000)
Cl (0.210, 0.886, 0.096)
Cl (0.305, 0.012, 0.639)
Cl (0.334, 0.694, 0.707)
Cl (0.373, 0.665, 0.361)
Cl (0.626, 0.334, 0.640)
Cl (0.665, 0.305, 0.293)
Cl (0.694, 0.987, 0.360)
Cl (0.790, 0.114, 0.904)
Cl (0.830, 0.830, 0.000)
Cl (0.886, 0.790, 0.676)
Cl (0.987, 0.626, 0.293)

---

2.
# P2Br4Cl3
Calculated X-ray diffraction stick pattern, a wavelength of 1.5418 Å. Input: a structure optimized by DFT (PBE).
No peak broadening, texture or thermal motion is included.

Principal peaks in the range 5 to 70 degrees two-theta, by angle:
2θ (°), I (rel.)
9.09, 40
13.01, 95
13.67, 42
14.46, 100
16.47, 72
20.08, 56
22.86, 47
26.20, 72
26.41, 54
29.08, 70

Structural model:
a = 6.657 Å, b = 7.112 Å, c = 19.746 Å
α = 80.11°, β = 87.86°, γ = 76.19°
Fractional coordinates of all 18 atoms:
P (0.161, 0.026, 0.073)
P (0.297, 0.900, 0.630)
P (0.703, 0.100, 0.370)
P (0.839, 0.974, 0.927)
Br (0.127, 0.818, 0.878)
Br (0.283, 0.281, 0.018)
Br (0.332, 0.750, 0.532)
Br (0.362, 0.187, 0.662)
Br (0.638, 0.813, 0.338)
Br (0.668, 0.250, 0.468)
Br (0.717, 0.719, 0.982)
Br (0.873, 0.182, 0.122)
Cl (0.004, 0.083, 0.343)
Cl (0.357, 0.927, 0.156)
Cl (0.457, 0.682, 0.703)
Cl (0.543, 0.318, 0.297)
Cl (0.643, 0.073, 0.844)
Cl (0.996, 0.917, 0.657)